Entry 1:
K2RbTbMgV2O8: theoretical X-ray diffraction stick pattern (CuKα), based on a DFT-relaxed cell (PBE+U, the Materials Project).

Structure:
Cell: 10.787 6.199 8.383 Å, 90.00 94.01 90.00°
Space group C2/m (No. 12)
Inequivalent atoms, fractional coordinates:
K: 0.202 0.000 0.247 [4 per cell]
Rb: 0.000 0.500 0.000 [2 per cell]
Tb: 0.000 0.500 0.500 [2 per cell]
Mg: 0.000 0.000 0.500 [2 per cell]
V: 0.194 0.000 0.745 [4 per cell]
O: 0.096 0.219 0.633 [8 per cell]
O: 0.150 0.500 0.312 [4 per cell]
O: 0.174 0.000 0.946 [4 per cell]

Top 8 peaks for 2θ = 15–90°, sorted by position:
d [Å]	I (rel.)	index
5.373	43.1	1 1 0
3.419	49.3	2 0 -2
3.357	27.2	1 1 -2
3.245	32.8	1 1 2
3.195	30.7	2 0 2
3.102	100.0	0 2 0
2.225	38.3	2 2 2
1.784	21.3	5 1 2

***

Entry 2:
Li2MnCr3O8: theoretical X-ray diffraction stick pattern (CuKα), based on a DFT-relaxed cell (PBE+U, the Materials Project).

Structure:
Cell: 5.9126 5.9126 14.6704 Å, 90.00 90.00 120.00°
Space group R3m (No. 160, hexagonal axes)
Inequivalent atoms, fractional coordinates:
Li: 0.0000 0.0000 0.0000 [3 per cell]
Li: 0.0000 0.0000 0.3762 [3 per cell]
Mn: 0.0000 0.0000 0.7565 [3 per cell]
Cr: 0.0054 0.5027 0.8780 [9 per cell]
O: 0.0000 0.0000 0.1372 [3 per cell]
O: 0.0000 0.0000 0.6169 [3 per cell]
O: 0.0328 0.5164 0.1389 [9 per cell]
O: 0.1801 0.3602 0.9453 [9 per cell]

Top 8 peaks for 2θ = 15–90°, sorted by position:
d [Å]	I (rel.)	index
4.890	100.0	0 0 3
4.199	44.9	0 1 2
2.982	45.0	1 0 4
2.530	50.5	1 1 3
2.522	80.7	0 2 1
2.099	59.8	0 2 4
1.491	35.6	2 0 8
1.478	38.1	2 2 0

***

Entry 3:
Sr3CaNi2W2O12: theoretical X-ray diffraction stick pattern (CuKα), based on a DFT-relaxed cell (PBE+U, the Materials Project).

Structure:
Cell: 5.623 5.651 7.958 Å, 90.10 90.04 90.10°
Space group P1 (No. 1)
Inequivalent atoms, fractional coordinates:
Sr: 0.000 0.000 0.000 [1 per cell]
Sr: 0.010 0.054 0.502 [1 per cell]
Sr: 0.510 0.505 0.001 [1 per cell]
Ca: 0.500 0.567 0.499 [1 per cell]
Ni: 0.006 0.528 0.749 [1 per cell]
Ni: 0.506 0.030 0.252 [1 per cell]
W: 0.005 0.528 0.254 [1 per cell]
W: 0.508 0.029 0.748 [1 per cell]
O: 0.065 0.531 0.012 [1 per cell]
O: 0.218 0.799 0.284 [1 per cell]
O: 0.235 0.816 0.722 [1 per cell]
O: 0.282 0.325 0.294 [1 per cell]
O: 0.306 0.306 0.708 [1 per cell]
O: 0.446 0.046 0.990 [1 per cell]
O: 0.565 0.999 0.508 [1 per cell]
O: 0.716 0.757 0.784 [1 per cell]
O: 0.736 0.741 0.219 [1 per cell]
O: 0.782 0.236 0.777 [1 per cell]
O: 0.799 0.254 0.222 [1 per cell]
O: 0.927 0.524 0.493 [1 per cell]

Top 8 peaks for 2θ = 15–90°, sorted by position:
d [Å]	I (rel.)	index
4.600	50.8	1 0 -1
3.984	27.8	1 1 0
2.820	100.0	1 -1 2
2.813	99.3	-1 1 2
1.993	39.2	2 2 0
1.989	20.2	0 0 4
1.627	20.4	0 2 4
1.624	43.4	3 -1 2

***

Entry 4:
Nd2Cr2O5: theoretical X-ray diffraction stick pattern (CuKα), based on a DFT-relaxed cell (PBE+U, the Materials Project).

Structure:
Cell: 3.938 3.938 7.275 Å, 90.00 90.00 90.00°
Space group P4/mmm (No. 123)
Inequivalent atoms, fractional coordinates:
Nd: 0.000 0.000 0.000 [1 per cell]
Nd: 0.000 0.000 0.500 [1 per cell]
Cr: 0.500 0.500 0.223 [2 per cell]
O: 0.000 0.500 0.234 [4 per cell]
O: 0.500 0.500 0.500 [1 per cell]

Top 8 peaks for 2θ = 15–90°, sorted by position:
d [Å]	I (rel.)	index
3.938	24.8	1 0 0
2.785	47.9	1 1 0
2.672	100.0	1 0 2
2.211	29.6	1 1 2
1.969	32.2	2 0 0
1.585	40.1	2 1 2
1.523	14.1	1 1 4
1.336	14.6	2 0 4

***

Entry 5:
MgCr2Ni2O8: theoretical X-ray diffraction stick pattern (CuKα), based on a DFT-relaxed cell (PBE+U, the Materials Project).

Structure:
Cell: 6.236 5.630 9.639 Å, 90.00 90.00 90.00°
Space group Amm2 (No. 38)
Inequivalent atoms, fractional coordinates:
Mg: 0.000 0.000 0.000 [2 per cell]
Cr: 0.000 0.000 0.736 [2 per cell]
Cr: 0.500 0.000 0.544 [2 per cell]
Ni: 0.278 0.000 0.225 [4 per cell]
O: 0.000 0.213 0.161 [4 per cell]
O: 0.209 0.000 0.847 [4 per cell]
O: 0.287 0.000 0.433 [4 per cell]
O: 0.500 0.238 0.150 [4 per cell]

Top 8 peaks for 2θ = 15–90°, sorted by position:
d [Å]	I (rel.)	index
4.820	63.9	0 0 2
3.834	79.8	1 1 1
2.815	53.4	0 2 0
2.791	26.1	0 1 3
2.623	100.0	2 1 1
2.547	36.1	1 1 3
2.079	23.9	2 1 3
1.574	39.7	2 1 5

***

Entry 6:
Li4Mn3CuO8: theoretical X-ray diffraction stick pattern (CuKα), based on a DFT-relaxed cell (PBE+U, the Materials Project).

Structure:
Cell: 5.9489 5.9489 14.5287 Å, 90.00 90.00 120.00°
Space group R-3m (No. 166, hexagonal axes)
Inequivalent atoms, fractional coordinates:
Li: 0.0000 0.0000 0.0000 [3 per cell]
Li: 0.0000 0.5000 0.0000 [9 per cell]
Mn: 0.0000 0.5000 0.5000 [9 per cell]
Cu: 0.0000 0.0000 0.5000 [3 per cell]
O: 0.0000 0.0000 0.2522 [6 per cell]
O: 0.0163 0.5082 0.7602 [18 per cell]

Top 8 peaks for 2θ = 15–90°, sorted by position:
d [Å]	I (rel.)	index
4.843	100.0	0 0 3
2.536	45.5	0 2 1
2.101	80.5	0 2 4
1.928	15.8	2 0 5
1.616	14.4	0 2 7
1.487	22.5	2 2 0
1.484	21.2	2 0 8
1.422	14.9	2 2 3

***

Entry 7:
La4Mn5CoPb2O18: theoretical X-ray diffraction stick pattern (CuKα), based on a DFT-relaxed cell (PBE+U, the Materials Project).

Structure:
Cell: 5.525 7.914 9.610 Å, 114.08 106.34 90.64°
Space group P1 (No. 1)
Inequivalent atoms, fractional coordinates:
La: 0.000 0.000 0.000 [1 per cell]
La: 0.002 0.508 0.001 [1 per cell]
La: 0.335 0.341 0.668 [1 per cell]
La: 0.668 0.675 0.335 [1 per cell]
Mn: 0.167 0.422 0.335 [1 per cell]
Mn: 0.169 0.922 0.335 [1 per cell]
Mn: 0.501 0.255 0.001 [1 per cell]
Mn: 0.834 0.589 0.668 [1 per cell]
Mn: 0.835 0.089 0.668 [1 per cell]
Co: 0.501 0.755 0.001 [1 per cell]
Pb: 0.334 0.838 0.669 [1 per cell]
Pb: 0.667 0.170 0.333 [1 per cell]
O: 0.037 0.487 0.519 [1 per cell]
O: 0.142 0.697 0.854 [1 per cell]
O: 0.149 0.152 0.296 [1 per cell]
O: 0.178 0.153 0.823 [1 per cell]
O: 0.181 0.684 0.358 [1 per cell]
O: 0.300 0.360 0.152 [1 per cell]
O: 0.358 0.812 0.183 [1 per cell]
O: 0.483 0.042 0.520 [1 per cell]
O: 0.485 0.481 0.967 [1 per cell]
O: 0.511 0.025 0.024 [1 per cell]
O: 0.515 0.479 0.487 [1 per cell]
O: 0.651 0.677 0.823 [1 per cell]
O: 0.716 0.166 0.858 [1 per cell]
O: 0.818 0.822 0.636 [1 per cell]
O: 0.822 0.383 0.183 [1 per cell]
O: 0.851 0.355 0.701 [1 per cell]
O: 0.856 0.805 0.155 [1 per cell]
O: 0.974 0.017 0.487 [1 per cell]

Top 8 peaks for 2θ = 15–90°, sorted by position:
d [Å]	I (rel.)	index
3.917	28.1	1 0 1
2.795	66.7	1 -2 2
2.774	100.0	1 2 0
2.763	33.3	2 0 -1
2.273	20.1	0 2 -4
1.978	20.4	0 4 -2
1.959	39.7	2 0 2
1.607	21.0	-1 2 4

***

Entry 8:
Na3MnF6: theoretical X-ray diffraction stick pattern (CuKα), based on a DFT-relaxed cell (PBE+U, the Materials Project).

Structure:
Cell: 5.563 5.757 9.829 Å, 90.00 122.71 90.00°
Space group P2_1/c (No. 14)
Inequivalent atoms, fractional coordinates:
Na: 0.000 0.000 0.000 [2 per cell]
Na: 0.258 0.055 0.752 [4 per cell]
Mn: 0.500 0.000 0.500 [2 per cell]
F: 0.146 0.062 0.264 [4 per cell]
F: 0.277 0.672 0.059 [4 per cell]
F: 0.406 0.221 0.067 [4 per cell]

Top 8 peaks for 2θ = 15–90°, sorted by position:
d [Å]	I (rel.)	index
4.725	78.0	0 1 1
4.680	46.0	1 0 0
3.999	74.0	1 1 -1
2.907	100.0	1 1 1
2.844	81.3	1 1 -3
2.501	71.6	1 0 2
2.068	50.8	0 0 4
2.000	81.2	2 2 -2